[1]
The following is a calculated powder diffraction line list of Tb12NdDy5. It was derived from a PBE-relaxed structure, using Cu Kα X-rays.
Intensities are scaled so that the largest is 100.

Structure:
```
data_Tb12NdDy5
_chemical_formula_sum 'Tb24 Nd2 Dy10'
_space_group_name_H-M_alt 'C 1 2/m 1'
_space_group_IT_number 12
_cell_length_a 11.9026
_cell_length_b 16.9418
_cell_length_c 5.7095
_cell_angle_alpha 90.00
_cell_angle_beta 90.00
_cell_angle_gamma 90.00
loop_
_space_group_symop_operation_xyz
'x,y,z'
'-x,-y,-z'
'-x,y,-z'
'x,-y,z'
'x+1/2,y+1/2,z'
'-x+1/2,-y+1/2,-z'
'-x+1/2,y+1/2,-z'
'x+1/2,-y+1/2,z'
loop_
_atom_site_label
_atom_site_type_symbol
_atom_site_fract_x
_atom_site_fract_y
_atom_site_fract_z
_atom_site_occupancy
Tb1 Tb 0.1514 0.1800 0.0002 1
Tb2 Tb 0.1517 0.3205 0.4998 1
Tb3 Tb 0.1979 0.5000 0.0017 1
Tb4 Tb 0.2013 0.0000 0.4983 1
Nd1 Nd 0.0000 0.0000 0.0000 1
Dy1 Dy 0.0000 0.1387 0.5000 1
Dy2 Dy 0.0000 0.3627 0.0000 1
Dy3 Dy 0.0000 0.5000 0.5000 1
```

The 10 most intense peaks (2θ from 10° to 80°), by angle:
index, 2θ (°), intensity
2 4 0, 25.8, 5
0 0 2, 31.3, 24
3 3 1, 31.7, 100
4 2 0, 31.9, 6
0 6 2, 45.2, 12
3 3 3, 56.0, 17
6 0 2, 56.5, 13
6 6 0, 56.7, 5
4 8 2, 63.0, 9
7 5 1, 63.3, 6


[2]
The following is a calculated powder diffraction line list of Tb4Nd2Dy. It was derived from a PBE-relaxed structure, using Cu Kα X-rays.
Intensities are scaled so that the largest is 100.

Structure:
```
data_Tb4Nd2Dy
_chemical_formula_sum 'Tb12 Nd6 Dy3'
_space_group_name_H-M_alt 'R -3 m'
_space_group_IT_number 166
_space_group_name_Hall '-R 3 2"'
_cell_length_a 3.5904
_cell_length_b 3.5904
_cell_length_c 61.4915
_cell_angle_alpha 90.00
_cell_angle_beta 90.00
_cell_angle_gamma 120.00
loop_
_atom_site_label
_atom_site_type_symbol
_atom_site_fract_x
_atom_site_fract_y
_atom_site_fract_z
_atom_site_occupancy
Tb1 Tb 0.0000 0.0000 0.1432 1
Tb2 Tb 0.0000 0.0000 0.2866 1
Nd1 Nd 0.0000 0.0000 0.4283 1
Dy1 Dy 0.0000 0.0000 0.0000 1
```

The 6 most intense peaks (2θ from 10° to 80°), by angle:
index, 2θ (°), intensity
1 0 7, 30.5, 100
0 1 14, 35.4, 51
1 1 0, 50.9, 36
0 2 7, 60.5, 43
2 0 14, 63.5, 12
0 2 28, 74.8, 6


[3]
The following is a calculated powder diffraction line list of Tb2NdDy5Th. It was derived from a PBE-relaxed structure, using Cu Kα X-rays.
Intensities are scaled so that the largest is 100.

Structure:
```
data_Tb2NdDy5Th
_chemical_formula_sum 'Tb8 Nd4 Dy20 Th4'
_space_group_name_H-M_alt 'C m c 21'
_space_group_IT_number 36
_cell_length_a 5.6445
_cell_length_b 20.1140
_cell_length_c 10.3973
_cell_angle_alpha 90.00
_cell_angle_beta 90.00
_cell_angle_gamma 90.00
loop_
_space_group_symop_operation_xyz
'x,y,z'
'-x,-y,z+1/2'
'-x,y,z'
'x,-y,z+1/2'
'x+1/2,y+1/2,z'
'-x+1/2,-y+1/2,z+1/2'
'-x+1/2,y+1/2,z'
'x+1/2,-y+1/2,z+1/2'
loop_
_atom_site_label
_atom_site_type_symbol
_atom_site_fract_x
_atom_site_fract_y
_atom_site_fract_z
_atom_site_occupancy
Tb1 Tb 0.0000 0.1130 0.0000 1
Tb2 Tb 0.0000 0.1149 0.4109 1
Nd1 Nd 0.0000 0.4116 0.1258 1
Dy1 Dy 0.0000 0.0165 0.7033 1
Dy2 Dy 0.0000 0.2750 0.9985 1
Dy3 Dy 0.0000 0.2976 0.3896 1
Dy4 Dy 0.0000 0.3876 0.7058 1
Dy5 Dy 0.0000 0.4776 0.4175 1
Th1 Th 0.0000 0.1995 0.6961 1
```

The 10 most intense peaks (2θ from 10° to 80°), by angle:
index, 2θ (°), intensity
0 6 1, 28.0, 22
1 1 3, 30.6, 48
2 0 0, 31.7, 45
1 5 2, 32.3, 100
0 0 4, 34.5, 11
2 6 1, 42.8, 14
0 6 5, 51.7, 13
3 5 2, 56.9, 20
1 11 3, 59.4, 16
2 6 5, 62.0, 15


[4]
The following is a calculated powder diffraction line list of TbNd2DyTh. It was derived from a PBE-relaxed structure, using Cu Kα X-rays.
Intensities are scaled so that the largest is 100.

Structure:
```
data_TbNd2DyTh
_chemical_formula_sum 'Tb2 Nd4 Dy2 Th2'
_space_group_name_H-M_alt 'P 1 2/c 1'
_space_group_IT_number 13
_cell_length_a 8.4913
_cell_length_b 6.4211
_cell_length_c 6.4047
_cell_angle_alpha 90.00
_cell_angle_beta 90.63
_cell_angle_gamma 90.00
loop_
_space_group_symop_operation_xyz
'x,y,z'
'-x,-y,-z'
'-x,y,-z+1/2'
'x,-y,z+1/2'
loop_
_atom_site_label
_atom_site_type_symbol
_atom_site_fract_x
_atom_site_fract_y
_atom_site_fract_z
_atom_site_occupancy
Tb1 Tb 0.0000 0.0000 0.0000 1
Nd1 Nd 0.3090 0.2905 0.2466 1
Dy1 Dy 0.5000 0.1875 0.7500 1
Th1 Th 0.0000 0.4434 0.7500 1
```

The 10 most intense peaks (2θ from 10° to 80°), by angle:
index, 2θ (°), intensity
2 0 0, 20.9, 41
0 0 2, 27.9, 52
2 1 -1, 28.7, 66
2 1 1, 28.9, 67
1 2 0, 29.7, 100
0 1 2, 31.2, 45
3 0 0, 31.6, 32
1 1 -2, 32.9, 65
1 1 2, 33.1, 64
2 2 0, 35.0, 34


[5]
The following is a calculated powder diffraction line list of Tb4NdDy2Th. It was derived from a PBE-relaxed structure, using Cu Kα X-rays.
Intensities are scaled so that the largest is 100.

Structure:
```
data_Tb4NdDy2Th
_chemical_formula_sum 'Tb4 Nd1 Dy2 Th1'
_space_group_name_H-M_alt 'P 4/m m m'
_space_group_IT_number 123
_space_group_name_Hall '-P 4 2'
_cell_length_a 5.0635
_cell_length_b 5.0635
_cell_length_c 10.0838
_cell_angle_alpha 90.00
_cell_angle_beta 90.00
_cell_angle_gamma 90.00
loop_
_atom_site_label
_atom_site_type_symbol
_atom_site_fract_x
_atom_site_fract_y
_atom_site_fract_z
_atom_site_occupancy
Tb1 Tb 0.0000 0.5000 0.2460 1
Nd1 Nd 0.0000 0.0000 0.5000 1
Dy1 Dy 0.0000 0.0000 0.0000 1
Dy2 Dy 0.5000 0.5000 0.5000 1
Th1 Th 0.5000 0.5000 0.0000 1
```

The 10 most intense peaks (2θ from 10° to 80°), by angle:
index, 2θ (°), intensity
1 1 2, 30.6, 100
2 0 0, 35.5, 34
0 0 4, 35.6, 17
2 2 0, 51.0, 12
2 0 4, 51.1, 24
3 1 2, 60.7, 29
1 1 6, 60.9, 14
2 2 4, 63.8, 12
4 0 0, 75.0, 4
0 0 8, 75.4, 2


[6]
The following is a calculated powder diffraction line list of Tb2NdDy4Tm2. It was derived from a PBE-relaxed structure, using Cu Kα X-rays.
Intensities are scaled so that the largest is 100.

Structure:
```
data_Tb2NdDy4Tm2
_chemical_formula_sum 'Tb4 Nd2 Dy8 Tm4'
_space_group_name_H-M_alt 'C 1 2/m 1'
_space_group_IT_number 12
_cell_length_a 18.5754
_cell_length_b 3.5823
_cell_length_c 9.5119
_cell_angle_alpha 90.00
_cell_angle_beta 115.66
_cell_angle_gamma 90.00
loop_
_space_group_symop_operation_xyz
'x,y,z'
'-x,-y,-z'
'-x,y,-z'
'x,-y,z'
'x+1/2,y+1/2,z'
'-x+1/2,-y+1/2,-z'
'-x+1/2,y+1/2,-z'
'x+1/2,-y+1/2,z'
loop_
_atom_site_label
_atom_site_type_symbol
_atom_site_fract_x
_atom_site_fract_y
_atom_site_fract_z
_atom_site_occupancy
Tb1 Tb 0.1482 0.0000 0.1676 1
Nd1 Nd 0.0000 0.0000 0.5000 1
Dy1 Dy 0.0188 0.5000 0.8350 1
Dy2 Dy 0.1857 0.0000 0.8346 1
Tm1 Tm 0.1683 0.5000 0.5015 1
```

The 10 most intense peaks (2θ from 10° to 80°), by angle:
index, 2θ (°), intensity
6 0 -1, 29.0, 37
0 0 3, 31.3, 50
3 1 -2, 32.1, 100
3 1 1, 33.8, 88
0 2 0, 51.0, 38
3 1 -5, 55.1, 21
3 1 4, 58.4, 19
0 2 3, 61.1, 15
9 1 1, 61.1, 30
12 0 -1, 62.6, 15


[7]
The following is a calculated powder diffraction line list of TbNd2Dy2Tm. It was derived from a PBE-relaxed structure, using Cu Kα X-rays.
Intensities are scaled so that the largest is 100.

Structure:
```
data_TbNd2Dy2Tm
_chemical_formula_sum 'Tb2 Nd4 Dy4 Tm2'
_space_group_name_H-M_alt 'P m m a'
_space_group_IT_number 51
_cell_length_a 7.0153
_cell_length_b 5.6516
_cell_length_c 9.7935
_cell_angle_alpha 90.00
_cell_angle_beta 90.00
_cell_angle_gamma 90.00
loop_
_space_group_symop_operation_xyz
'x,y,z'
'-x,-y,-z'
'-x+1/2,-y,z'
'x+1/2,y,-z'
'x+1/2,-y,-z'
'-x+1/2,y,z'
'-x,y,-z'
'x,-y,z'
loop_
_atom_site_label
_atom_site_type_symbol
_atom_site_fract_x
_atom_site_fract_y
_atom_site_fract_z
_atom_site_occupancy
Tb1 Tb 0.2500 0.0000 0.1574 1
Nd1 Nd 0.0000 0.0000 0.5000 1
Nd2 Nd 0.2500 0.5000 0.6788 1
Dy1 Dy 0.2500 0.0000 0.8313 1
Dy2 Dy 0.2500 0.5000 0.3368 1
Tm1 Tm 0.0000 0.5000 0.0000 1
```

The 10 most intense peaks (2θ from 10° to 80°), by angle:
index, 2θ (°), intensity
2 1 1, 31.4, 92
0 2 0, 31.7, 100
2 2 0, 41.0, 11
2 2 2, 45.2, 34
4 0 0, 52.2, 8
2 3 1, 56.2, 35
0 3 3, 56.4, 19
4 2 0, 62.3, 29
0 4 0, 66.1, 12
2 4 2, 75.0, 15


[8]
The following is a calculated powder diffraction line list of Tb2NdDy3Tm6. It was derived from a PBE-relaxed structure, using Cu Kα X-rays.
Intensities are scaled so that the largest is 100.

Structure:
```
data_Tb2NdDy3Tm6
_chemical_formula_sum 'Tb4 Nd2 Dy6 Tm12'
_space_group_name_H-M_alt 'C 1 2/m 1'
_space_group_IT_number 12
_cell_length_a 6.1174
_cell_length_b 10.5853
_cell_length_c 11.6572
_cell_angle_alpha 90.00
_cell_angle_beta 100.04
_cell_angle_gamma 90.00
loop_
_space_group_symop_operation_xyz
'x,y,z'
'-x,-y,-z'
'-x,y,-z'
'x,-y,z'
'x+1/2,y+1/2,z'
'-x+1/2,-y+1/2,-z'
'-x+1/2,y+1/2,-z'
'x+1/2,-y+1/2,z'
loop_
_atom_site_label
_atom_site_type_symbol
_atom_site_fract_x
_atom_site_fract_y
_atom_site_fract_z
_atom_site_occupancy
Tb1 Tb 0.0000 0.1667 0.0000 1
Nd1 Nd 0.0000 0.5000 0.0000 1
Dy1 Dy 0.0000 0.0000 0.5000 1
Dy2 Dy 0.0000 0.3332 0.5000 1
Tm1 Tm 0.2485 0.1669 0.7484 1
Tm2 Tm 0.2492 0.5000 0.7485 1
```

The 10 most intense peaks (2θ from 10° to 80°), by angle:
index, 2θ (°), intensity
1 3 1, 31.0, 100
0 0 4, 31.2, 33
2 0 2, 36.0, 67
0 6 0, 51.8, 24
1 3 5, 52.0, 24
4 0 0, 61.6, 24
0 6 4, 61.7, 19
2 0 6, 61.8, 14
2 6 2, 64.7, 12
4 0 4, 76.4, 8